(1)
Starting from a structure optimized by DFT (PBE), the powder diffraction line list of La2P4O13 was computed for λ = 1.5418 Å (Cu Kα).

Cell lengths 9.8442, 9.8442, 8.9183 Å; angles 90.00, 90.00, 136.17 degrees
Sites, in units of the cell vectors:
La1 0.1020 0.3957 0.1425
La2 0.3957 0.1020 0.8575
La3 0.6043 0.8980 0.3575
La4 0.8980 0.6043 0.6425
P1 0.0863 0.4030 0.5053
P2 0.2264 0.3435 0.7682
P3 0.3435 0.2264 0.2318
P4 0.4030 0.0863 0.4947
P5 0.5970 0.9137 0.9947
P6 0.6565 0.7736 0.7318
P7 0.7736 0.6565 0.2682
P8 0.9137 0.5970 0.0053
O1 0.0319 0.4807 0.6071
O2 0.0772 0.7570 0.8954
O3 0.1211 0.3455 0.8892
O4 0.1242 0.2964 0.6091
O5 0.2085 0.2474 0.2121
O6 0.2430 0.9228 0.6046
O7 0.2474 0.2085 0.7879
O8 0.2721 0.5600 0.4089
O9 0.2964 0.1242 0.3909
O10 0.3455 0.1211 0.1108
O11 0.4378 0.5622 0.7500
O12 0.4400 0.7279 0.0911
O13 0.4807 0.0319 0.3929
O14 0.5193 0.9681 0.8929
O15 0.5600 0.2721 0.5911
O16 0.5622 0.4378 0.2500
O17 0.6545 0.8789 0.6108
O18 0.7036 0.8758 0.8909
O19 0.7279 0.4400 0.9089
O20 0.7526 0.7915 0.2879
O21 0.7570 0.0772 0.1046
O22 0.7915 0.7526 0.7121
O23 0.8758 0.7036 0.1091
O24 0.8789 0.6545 0.3892
O25 0.9228 0.2430 0.3954
O26 0.9681 0.5193 0.1071

Peak list (12 most intense, 2θ from 15° to 90°, by angle)
d [Å]  Rel. int.
4.566  75.9
4.065  51.7
3.732  84.3
3.674  100.0
3.184  18.8
2.863  25.0
2.725  50.1
2.638  27.4
2.511  41.8
2.132  31.7
1.895  39.6
1.851  20.9

***

(2)
Starting from a structure optimized by DFT (PBE), the powder diffraction line list of LaP3O9 was computed for λ = 1.5418 Å (Cu Kα).

Cell lengths 7.1897, 7.1897, 7.4995 Å; angles 90.00, 90.00, 105.10 degrees
Sites, in units of the cell vectors:
La1 0.1295 0.1295 0.0000
La2 0.8705 0.8705 0.5000
P1 0.2515 0.2515 0.5000
P2 0.3181 0.6686 0.9516
P3 0.3314 0.6819 0.5484
P4 0.6686 0.3181 0.0484
P5 0.6819 0.3314 0.4516
P6 0.7485 0.7485 0.0000
O1 0.1381 0.1732 0.6662
O2 0.1715 0.7785 0.5386
O3 0.1732 0.1381 0.3338
O4 0.2215 0.8285 0.9614
O5 0.2229 0.4783 0.0342
O6 0.2518 0.4693 0.4616
O7 0.3729 0.6271 0.7500
O8 0.4693 0.2518 0.5384
O9 0.4783 0.2229 0.9658
O10 0.5217 0.7771 0.4658
O11 0.5307 0.7482 0.0384
O12 0.6271 0.3729 0.2500
O13 0.7482 0.5307 0.9616
O14 0.7771 0.5217 0.5342
O15 0.7785 0.1715 0.4614
O16 0.8268 0.8619 0.8338
O17 0.8285 0.2215 0.0386
O18 0.8619 0.8268 0.1662

Peak list (12 most intense, 2θ from 15° to 90°, by angle)
d [Å]  Rel. int.
5.708  69.2
5.094  37.9
3.777  40.7
3.750  100.0
3.489  71.3
3.471  28.9
3.150  51.4
2.643  32.3
2.554  25.7
2.210  23.0
2.029  34.1
1.873  25.0